Computed powder diffraction line list
Compound: TmAl2ZnCu2
Radiation: Cu Kα
Structure: a PBE-relaxed structure
Kinematic intensities with the Lorentz-polarization factor, no thermal factor.

Cell and atoms:
```
data_TmAl2ZnCu2
_cell_length_a 4.4233
_cell_length_b 4.4233
_cell_length_c 5.5144
_cell_angle_alpha 90.00
_cell_angle_beta 90.00
_cell_angle_gamma 90.00
_space_group_name_H-M_alt 'P 1'
_space_group_IT_number 1
loop_
_space_group_symop_operation_xyz
'x,y,z'
loop_
_atom_site_label
_atom_site_fract_x
_atom_site_fract_y
_atom_site_fract_z
Tm1 0.0000 0.0000 0.0000
Al1 0.5000 0.5000 0.2390
Al2 0.5000 0.5000 0.7610
Zn1 0.0000 0.0000 0.5000
Cu1 0.0000 0.5000 0.5000
Cu2 0.5000 0.0000 0.5000
```

Largest 10 diffraction maxima, sorted by position, 10 to 80 degrees two-theta:
20.1°, rel. 99.7; 25.8°, rel. 27.4; 28.5°, rel. 30.5; 32.5°, rel. 47.9; 32.9°, rel. 100.0; 38.5°, rel. 98.3; 40.8°, rel. 90.4; 53.1°, rel. 46.5; 57.3°, rel. 60.7; 59.1°, rel. 29.4

Computed powder diffraction line list
Compound: Ac3TbIr8
Radiation: Cu Kα
Structure: a PBE-relaxed structure
Kinematic intensities with the Lorentz-polarization factor, no thermal factor.

Cell and atoms:
```
data_Ac3TbIr8
_cell_length_a 9.5615
_cell_length_b 9.5615
_cell_length_c 9.5615
_cell_angle_alpha 33.58
_cell_angle_beta 33.58
_cell_angle_gamma 33.58
_space_group_name_H-M_alt 'P 1'
_space_group_IT_number 1
loop_
_space_group_symop_operation_xyz
'x,y,z'
loop_
_atom_site_label
_atom_site_fract_x
_atom_site_fract_y
_atom_site_fract_z
Ac1 0.0000 0.0000 0.0000
Ac2 0.1256 0.1256 0.1256
Ac3 0.5020 0.5020 0.5020
Tb1 0.6265 0.6265 0.6265
Ir1 0.0594 0.5625 0.5625
Ir2 0.0648 0.0648 0.5659
Ir3 0.0648 0.5659 0.0648
Ir4 0.3130 0.3130 0.3130
Ir5 0.5625 0.0594 0.5625
Ir6 0.5625 0.5625 0.0594
Ir7 0.5659 0.0648 0.0648
Ir8 0.8132 0.8132 0.8132
```

Largest 10 diffraction maxima, sorted by position, 10 to 80 degrees two-theta:
19.7°, rel. 3.3; 32.4°, rel. 29.1; 38.2°, rel. 100.0; 40.0°, rel. 37.6; 46.5°, rel. 3.8; 51.0°, rel. 0.8; 57.8°, rel. 11.6; 61.7°, rel. 33.3; 67.9°, rel. 28.7; 77.3°, rel. 5.1

Computed powder diffraction line list
Compound: SrLi6Mg6
Radiation: Cu Kα
Structure: a PBE-relaxed structure
Kinematic intensities with the Lorentz-polarization factor, no thermal factor.

Cell and atoms:
```
data_SrLi6Mg6
_cell_length_a 7.8948
_cell_length_b 7.8948
_cell_length_c 7.8948
_cell_angle_alpha 138.70
_cell_angle_beta 97.50
_cell_angle_gamma 96.79
_space_group_name_H-M_alt 'P 1'
_space_group_IT_number 1
loop_
_space_group_symop_operation_xyz
'x,y,z'
loop_
_atom_site_label
_atom_site_fract_x
_atom_site_fract_y
_atom_site_fract_z
Sr1 0.0000 0.0000 0.0000
Li1 0.0000 0.0000 0.5000
Li2 0.0000 0.5000 0.0000
Li3 0.2236 0.7236 0.5000
Li4 0.5000 0.0000 0.0000
Li5 0.5000 0.5000 0.5000
Li6 0.7764 0.2764 0.5000
Mg1 0.2185 0.5000 0.7185
Mg2 0.3549 0.3549 0.0000
Mg3 0.3562 0.0000 0.3562
Mg4 0.6438 0.0000 0.6438
Mg5 0.6451 0.6451 0.0000
Mg6 0.7815 0.5000 0.2815
```

Largest 10 diffraction maxima, sorted by position, 10 to 80 degrees two-theta:
16.9°, rel. 58.8; 18.1°, rel. 47.7; 24.9°, rel. 42.4; 30.2°, rel. 25.7; 30.3°, rel. 54.3; 32.1°, rel. 29.9; 34.9°, rel. 100.0; 36.5°, rel. 44.9; 59.1°, rel. 21.0; 61.7°, rel. 24.3

Computed powder diffraction line list
Compound: Li6Ca2Al
Radiation: Cu Kα
Structure: a PBE-relaxed structure
Kinematic intensities with the Lorentz-polarization factor, no thermal factor.

Cell and atoms:
```
data_Li6Ca2Al
_cell_length_a 5.9116
_cell_length_b 5.9116
_cell_length_c 6.9243
_cell_angle_alpha 90.00
_cell_angle_beta 90.00
_cell_angle_gamma 120.00
_space_group_name_H-M_alt 'P 1'
_space_group_IT_number 1
loop_
_space_group_symop_operation_xyz
'x,y,z'
loop_
_atom_site_label
_atom_site_fract_x
_atom_site_fract_y
_atom_site_fract_z
Li1 0.1688 0.3376 0.1634
Li2 0.1688 0.8312 0.1634
Li3 0.3376 0.1688 0.8366
Li4 0.6624 0.8312 0.1634
Li5 0.8312 0.1688 0.8366
Li6 0.8312 0.6624 0.8366
Ca1 0.3333 0.6667 0.6132
Ca2 0.6667 0.3333 0.3868
Al1 0.0000 0.0000 0.5000
```

Largest 10 diffraction maxima, sorted by position, 10 to 80 degrees two-theta:
12.8°, rel. 100.0; 21.6°, rel. 50.6; 30.2°, rel. 65.2; 31.2°, rel. 79.3; 32.9°, rel. 92.4; 37.5°, rel. 34.1; 43.0°, rel. 30.2; 54.3°, rel. 28.5; 55.5°, rel. 18.8; 62.6°, rel. 18.5

Computed powder diffraction line list
Compound: Ac2Ga3Ni6
Radiation: Cu Kα
Structure: a PBE-relaxed structure
Kinematic intensities with the Lorentz-polarization factor, no thermal factor.

Cell and atoms:
```
data_Ac2Ga3Ni6
_cell_length_a 7.1151
_cell_length_b 7.1151
_cell_length_c 4.4155
_cell_angle_alpha 90.00
_cell_angle_beta 90.00
_cell_angle_gamma 120.00
_space_group_name_H-M_alt 'P 1'
_space_group_IT_number 1
loop_
_space_group_symop_operation_xyz
'x,y,z'
loop_
_atom_site_label
_atom_site_fract_x
_atom_site_fract_y
_atom_site_fract_z
Ac1 0.3333 0.6667 0.0000
Ac2 0.6667 0.3333 0.0000
Ga1 0.0000 0.3825 0.5000
Ga2 0.3825 0.0000 0.5000
Ga3 0.6175 0.6175 0.5000
Ni1 0.0000 0.1984 0.0000
Ni2 0.0000 0.7719 0.5000
Ni3 0.1984 0.0000 0.0000
Ni4 0.2281 0.2281 0.5000
Ni5 0.7719 0.0000 0.5000
Ni6 0.8016 0.8016 0.0000
```

Largest 10 diffraction maxima, sorted by position, 10 to 80 degrees two-theta:
25.0°, rel. 28.5; 32.3°, rel. 100.0; 35.5°, rel. 19.1; 38.7°, rel. 29.4; 40.9°, rel. 29.2; 44.0°, rel. 46.1; 44.1°, rel. 21.2; 55.7°, rel. 22.5; 57.5°, rel. 18.1; 61.7°, rel. 15.8

Computed powder diffraction line list
Compound: Tl4ClF5
Radiation: Cu Kα
Structure: a PBE-relaxed structure
Kinematic intensities with the Lorentz-polarization factor, no thermal factor.

Cell and atoms:
```
data_Tl4ClF5
_cell_length_a 7.6375
_cell_length_b 8.0131
_cell_length_c 6.9704
_cell_angle_alpha 90.00
_cell_angle_beta 90.00
_cell_angle_gamma 90.00
_space_group_name_H-M_alt 'P 1'
_space_group_IT_number 1
loop_
_space_group_symop_operation_xyz
'x,y,z'
loop_
_atom_site_label
_atom_site_fract_x
_atom_site_fract_y
_atom_site_fract_z
Tl1 0.0337 0.2500 0.0025
Tl2 0.2500 0.5682 0.4728
Tl3 0.2500 0.9318 0.4728
Tl4 0.4663 0.2500 0.0025
Tl5 0.5337 0.7500 0.9975
Tl6 0.7500 0.0682 0.5272
Tl7 0.7500 0.4318 0.5272
Tl8 0.9663 0.7500 0.9975
Cl1 0.2500 0.2500 0.5862
Cl2 0.7500 0.7500 0.4138
F1 0.0097 0.0296 0.2953
F2 0.0097 0.4704 0.2953
F3 0.2500 0.7500 0.1589
F4 0.4903 0.0296 0.2953
F5 0.4903 0.4704 0.2953
F6 0.5097 0.5296 0.7047
F7 0.5097 0.9704 0.7047
F8 0.7500 0.2500 0.8411
F9 0.9903 0.5296 0.7047
F10 0.9903 0.9704 0.7047
```

Largest 10 diffraction maxima, sorted by position, 10 to 80 degrees two-theta:
20.5°, rel. 20.2; 25.6°, rel. 100.0; 26.6°, rel. 75.5; 32.4°, rel. 19.6; 41.7°, rel. 35.6; 44.3°, rel. 15.2; 45.7°, rel. 19.3; 51.3°, rel. 19.8; 54.9°, rel. 16.6; 76.9°, rel. 14.8

Number 4 is which compound?
Li6Ca2Al